Structure and calculated powder XRD pattern of Ca5Zn (a DFT-relaxed cell (PBE, Alexandria); Cu Ka).
Lines closer than 0.1° are merged.

Crystal structure
```
Ca5Zn
1.0
-3.9099 3.9099 7.2142
3.9099 -3.9099 7.2142
3.9099 3.9099 -7.2142
Ca Zn
10 2
Direct
0.0000 0.0000 0.0000
0.0200 0.5200 0.8303
0.1898 0.0200 0.5000
0.3102 0.8102 0.8303
0.4800 0.3102 0.5000
0.5000 0.5000 0.0000
0.5200 0.6898 0.5000
0.6898 0.1898 0.1697
0.8102 0.9800 0.5000
0.9800 0.4800 0.1697
0.2500 0.2500 0.0000
0.7500 0.7500 0.0000
```

Top 6 peaks for 2θ from 5° to 70°, by angle:
d_spacing  Rel. int.
5.529  45
3.399  72
3.021  97
2.828  97
2.651  100
2.473  94

Structure and calculated powder XRD pattern of Ca3Zr4 (a DFT-relaxed cell (PBE, Alexandria); Cu Ka).
Lines closer than 0.1° are merged.

Crystal structure
```
Ca3Zr4
1.0
5.8999 0.0000 0.0000
-2.9500 5.1095 0.0000
0.0000 0.0000 6.3613
Ca Zr
3 4
Direct
0.0000 0.5000 0.0000
0.5000 0.0000 0.0000
0.5000 0.5000 0.0000
0.0000 0.0000 0.3054
0.0000 0.0000 0.6946
0.3333 0.6667 0.5000
0.6667 0.3333 0.5000
```

Top 6 peaks for 2θ from 5° to 70°, by angle:
d_spacing  Rel. int.
2.950  84
2.700  93
2.676  100
2.555  25
1.651  40
1.632  35

Structure and calculated powder XRD pattern of Ca5Zr3 (a DFT-relaxed cell (PBE, Alexandria); Cu Ka).
Lines closer than 0.1° are merged.

Crystal structure
```
Ca5Zr3
1.0
-6.5075 6.5075 3.0146
6.5075 -6.5075 3.0146
6.5075 6.5075 -3.0146
Ca Zr
10 6
Direct
0.0698 0.7730 0.8428
0.2270 0.0698 0.2968
0.2500 0.7500 0.5000
0.2730 0.5698 0.8428
0.4302 0.2730 0.7032
0.5698 0.7270 0.2968
0.7270 0.4302 0.1572
0.7500 0.2500 0.5000
0.7730 0.9302 0.7032
0.9302 0.2270 0.1572
0.1879 0.3121 0.5000
0.2500 0.2500 0.0000
0.3121 0.8121 0.1241
0.6879 0.1879 0.8759
0.7500 0.7500 0.0000
0.8121 0.6879 0.5000
```

Top 6 peaks for 2θ from 5° to 70°, by angle:
d_spacing  Rel. int.
3.254  19
2.910  28
2.797  100
2.735  54
2.232  21
1.695  21

Structure and calculated powder XRD pattern of CaZr2 (a DFT-relaxed cell (PBE, Alexandria); Cu Ka).
Lines closer than 0.1° are merged.

Crystal structure
```
CaZr2
1.0
2.9169 -1.6865 0.0000
2.9169 1.6865 0.0000
-1.8921 0.0000 16.5686
Ca Zr
2 4
Direct
0.2028 0.2028 0.1006
0.7972 0.7972 0.8994
0.3077 0.3077 0.4235
0.4054 0.4054 0.7241
0.5946 0.5946 0.2759
0.6923 0.6923 0.5765
```

Top 6 peaks for 2θ from 5° to 70°, by angle:
d_spacing  Rel. int.
16.569  100
2.914  15
2.642  21
2.520  30
2.452  22
1.685  15

Structure and calculated powder XRD pattern of Ca5Zr (a DFT-relaxed cell (PBE, Alexandria); Cu Ka).
Lines closer than 0.1° are merged.

Crystal structure
```
Ca5Zr
1.0
6.9661 -1.8440 0.0000
6.9661 1.8440 0.0000
-2.4920 0.0000 8.5808
Ca Zr
5 1
Direct
0.0000 0.0000 0.0000
0.0465 0.0465 0.6254
0.3133 0.3133 0.6964
0.3714 0.3714 0.2529
0.6616 0.6616 0.3286
0.7069 0.7069 0.9495
```

Top 6 peaks for 2θ from 5° to 70°, by angle:
d_spacing  Rel. int.
8.581  22
3.202  21
3.088  38
2.859  46
2.843  100
1.732  18

Structure and calculated powder XRD pattern of Ca3Zr (a DFT-relaxed cell (PBE, Alexandria); Cu Ka).
Lines closer than 0.1° are merged.

Crystal structure
```
Ca3Zr
1.0
-2.5956 2.5956 5.1364
2.5956 -2.5956 5.1364
2.5956 2.5956 -5.1364
Ca Zr
3 1
Direct
0.0000 0.0000 0.0000
0.2500 0.7500 0.5000
0.7500 0.2500 0.5000
0.5000 0.5000 0.0000
```

Top 6 peaks for 2θ from 5° to 70°, by angle:
d_spacing  Rel. int.
4.633  16
2.986  100
2.596  33
2.568  16
1.826  22
1.564  26

Structure and calculated powder XRD pattern of Cd (a DFT-relaxed cell (PBE, Alexandria); Cu Ka).
Lines closer than 0.1° are merged.

Crystal structure
```
Cd
1.0
3.0185 0.0000 0.0000
1.5091 2.6991 0.0000
1.4965 0.3847 8.3090
Cd
3
Direct
0.0000 0.0000 0.0000
0.2390 0.1890 0.3341
0.7610 0.8110 0.6659
```

Top 6 peaks for 2θ from 5° to 70°, by angle:
d_spacing  Rel. int.
2.770  96
2.696  30
2.530  41
2.400  100
2.358  96
2.311  32

Structure and calculated powder XRD pattern of Cd (a DFT-relaxed cell (PBE, Alexandria); Cu Ka).
Lines closer than 0.1° are merged.

Crystal structure
```
Cd
1.0
1.5463 -2.6512 0.0000
1.5463 2.6512 0.0000
0.0000 0.0000 3.0514
Cd
1
Direct
0.0000 0.0000 0.0000
```

Top 6 peaks for 2θ from 5° to 70°, by angle:
d_spacing  Rel. int.
3.051  72
2.671  100
2.651  49
2.010  86
2.001  42
1.371  23

Structure and calculated powder XRD pattern of Cd (a DFT-relaxed cell (PBE, Alexandria); Cu Ka).
Lines closer than 0.1° are merged.

Crystal structure
```
Cd
1.0
8.1268 0.0000 0.0000
-4.0634 7.0380 0.0000
0.0000 0.0000 5.3780
Cd
12
Direct
0.0000 0.2199 0.2500
0.0000 0.4246 0.7500
0.0000 0.5754 0.2500
0.0000 0.7801 0.7500
0.2199 0.0000 0.2500
0.2199 0.2199 0.7500
0.4246 0.0000 0.7500
0.4246 0.4246 0.2500
0.5754 0.0000 0.2500
0.5754 0.5754 0.7500
0.7801 0.0000 0.7500
0.7801 0.7801 0.2500
```

Top 6 peaks for 2θ from 5° to 70°, by angle:
d_spacing  Rel. int.
4.063  25
2.689  34
2.660  16
2.384  100
1.891  12
1.487  21

Structure and calculated powder XRD pattern of Cd (a DFT-relaxed cell (PBE, Alexandria); Cu Ka).
Lines closer than 0.1° are merged.

Crystal structure
```
Cd
1.0
1.4596 -2.9085 0.0000
1.4596 2.9085 0.0000
-1.4362 0.0000 2.7440
Cd
1
Direct
0.0000 0.0000 0.0000
```

Top 6 peaks for 2θ from 5° to 70°, by angle:
d_spacing  Rel. int.
2.909  90
2.744  77
2.363  100
2.349  98
1.996  60
1.551  26

Structure and calculated powder XRD pattern of Cd (a DFT-relaxed cell (PBE, Alexandria); Cu Ka).
Lines closer than 0.1° are merged.

Crystal structure
```
Cd
1.0
7.3122 0.0000 0.0000
-3.6561 6.3325 0.0000
0.0000 0.0000 3.1119
Cd
6
Direct
0.0000 0.2409 0.0000
0.0000 0.5835 0.5000
0.2409 0.0000 0.0000
0.4165 0.4165 0.5000
0.5835 0.0000 0.5000
0.7591 0.7591 0.0000
```

Top 6 peaks for 2θ from 5° to 70°, by angle:
d_spacing  Rel. int.
3.656  49
2.793  37
2.393  100
2.370  97
2.219  50
1.530  39

Structure and calculated powder XRD pattern of Ce5Cd2 (a DFT-relaxed cell (PBE, Alexandria); Cu Ka).
Lines closer than 0.1° are merged.

Crystal structure
```
Ce5Cd2
1.0
5.3950 -2.0777 0.0000
5.3950 2.0777 0.0000
-1.9254 0.0000 8.0418
Ce Cd
5 2
Direct
0.0000 0.0000 0.0000
0.1663 0.1663 0.4443
0.3145 0.3145 0.8773
0.6855 0.6855 0.1227
0.8337 0.8337 0.5557
0.4259 0.4259 0.2903
0.5741 0.5741 0.7097
```

Top 6 peaks for 2θ from 5° to 70°, by angle:
d_spacing  Rel. int.
2.686  100
2.674  96
2.650  51
2.339  25
2.078  25
1.635  23

Structure and calculated powder XRD pattern of Ce5Cd (a DFT-relaxed cell (PBE, Alexandria); Cu Ka).
Lines closer than 0.1° are merged.

Crystal structure
```
Ce5Cd
1.0
5.6544 0.0000 0.0000
0.0000 9.9721 0.0000
-1.8413 0.0000 5.5073
Ce Cd
10 2
Direct
0.2456 0.0777 0.4990
0.2456 0.4223 0.4990
0.2476 0.2500 0.9990
0.2499 0.5882 0.9977
0.2499 0.9118 0.9977
0.7501 0.0882 0.0023
0.7501 0.4118 0.0023
0.7524 0.7500 0.0010
0.7544 0.5777 0.5010
0.7544 0.9223 0.5010
0.2550 0.7500 0.4991
0.7450 0.2500 0.5009
```

Top 6 peaks for 2θ from 5° to 70°, by angle:
d_spacing  Rel. int.
2.754  53
2.704  100
2.681  49
2.359  68
2.324  33
1.413  26

Structure and calculated powder XRD pattern of Ce2Cd3 (a DFT-relaxed cell (PBE, Alexandria); Cu Ka).
Lines closer than 0.1° are merged.

Crystal structure
```
Ce2Cd3
1.0
-1.6004 1.6004 11.9823
1.6004 -1.6004 11.9823
1.6004 1.6004 -11.9823
Ce Cd
2 3
Direct
0.1030 0.1030 0.0000
0.8970 0.8970 0.0000
0.2940 0.2940 0.0000
0.5000 0.5000 0.0000
0.7060 0.7060 0.0000
```

Top 6 peaks for 2θ from 5° to 70°, by angle:
d_spacing  Rel. int.
2.662  100
2.396  18
2.263  32
1.645  22
1.429  12
1.372  24

Structure and calculated powder XRD pattern of Ce8Cd3 (a DFT-relaxed cell (PBE, Alexandria); Cu Ka).
Lines closer than 0.1° are merged.

Crystal structure
```
Ce8Cd3
1.0
5.1456 -2.6226 0.0000
5.1456 2.6226 0.0000
-2.2692 0.0000 10.6439
Ce Cd
8 3
Direct
0.0660 0.0660 0.3345
0.1340 0.1340 0.9723
0.2075 0.2075 0.5775
0.2818 0.2818 0.2167
0.7182 0.7182 0.7833
0.7925 0.7925 0.4225
0.8660 0.8660 0.0277
0.9340 0.9340 0.6655
0.4208 0.4208 0.8620
0.5000 0.5000 0.5000
0.5792 0.5792 0.1380
```

Top 6 peaks for 2θ from 5° to 70°, by angle:
d_spacing  Rel. int.
2.699  100
2.623  26
2.342  13
2.126  13
1.652  12
1.528  17